Simulated powder diffraction line list
Compound: LiMnF4
Radiation: Cu Kα (λ = 1.5418 Å)
Structure: a PBE+U-relaxed structure
Lines closer than 0.1° are merged.

Most intense lines, 2θ from 10° to 80°, by angle:
- 2θ 11.84, rel. 345, (1 0 0)
- 2θ 21.57, rel. 1000, (1 1 0)
- 2θ 24.31, rel. 322, (0 0 2)
- 2θ 24.56, rel. 386, (1 0 -2)
- 2θ 29.99, rel. 329, (2 1 0)
- 2θ 40.57, rel. 342, (1 1 -3)

```
LiMnF4
1.0
7.6695 0.0000 0.0000
0.0000 4.9373 0.0000
-1.6817 0.0000 7.3232
Li Mn F
4 4 16
Direct
0.1361 0.2367 0.3504 Li
0.1361 0.2633 0.8504 Li
0.8639 0.7367 0.1496 Li
0.8639 0.7633 0.6496 Li
0.3165 0.7479 0.1857 Mn
0.3165 0.7521 0.6857 Mn
0.6835 0.2479 0.3143 Mn
0.6835 0.2521 0.8143 Mn
0.0945 0.5615 0.1965 F
0.0945 0.9385 0.6965 F
0.1940 0.0510 0.0866 F
0.1940 0.4490 0.5866 F
0.3099 0.5800 0.9359 F
0.3099 0.9200 0.4359 F
0.4452 0.0545 0.8022 F
0.4452 0.4455 0.3022 F
0.5548 0.5545 0.6978 F
0.5548 0.9455 0.1978 F
0.6901 0.0800 0.5641 F
0.6901 0.4200 0.0641 F
0.8060 0.5510 0.4134 F
0.8060 0.9490 0.9134 F
0.9055 0.0615 0.3035 F
0.9055 0.4385 0.8035 F
```